[1]
Starting from a structure optimized by DFT (PBE), the powder diffraction line list of CaNd2Zn3 was simulated for Cu Kα, 1.54184 Å.
No peak broadening, texture or thermal motion is included.

Structure:
Cell lengths 3.679, 3.679, 11.125 Å; angles 90.00, 90.00, 90.00 degrees
Fractional coordinates of all 6 atoms:
Ca (0.000, 0.000, 0.000)
Nd (0.000, 0.000, 0.335)
Nd (0.000, 0.000, 0.665)
Zn (0.500, 0.500, 0.172)
Zn (0.500, 0.500, 0.500)
Zn (0.500, 0.500, 0.828)

The 6 most intense peaks (15 to 90 degrees two-theta), low angle first:
2θ/deg, I/Imax
34.3, 100
34.5, 50
49.6, 17
61.4, 18
61.7, 35
83.0, 15

[2]
Starting from a structure optimized by DFT (PBE), the powder diffraction line list of CaNd3Zn2 was simulated for Cu Kα, 1.54184 Å.
No peak broadening, texture or thermal motion is included.

Structure:
Cell lengths 5.216, 9.439, 6.971 Å; angles 90.00, 90.00, 90.00 degrees
Fractional coordinates of all 12 atoms:
Ca (0.000, 0.057, 0.000)
Ca (0.000, 0.943, 0.500)
Nd (0.000, 0.330, 0.649)
Nd (0.000, 0.670, 0.149)
Nd (0.500, 0.168, 0.319)
Nd (0.500, 0.442, 0.976)
Nd (0.500, 0.558, 0.476)
Nd (0.500, 0.832, 0.819)
Zn (0.000, 0.349, 0.216)
Zn (0.000, 0.651, 0.716)
Zn (0.500, 0.153, 0.755)
Zn (0.500, 0.847, 0.255)

The 6 most intense peaks (15 to 90 degrees two-theta), low angle first:
2θ/deg, I/Imax
28.5, 61
30.9, 50
31.9, 28
32.3, 85
33.3, 100
34.4, 66

[3]
Starting from a structure optimized by DFT (PBE), the powder diffraction line list of Ca4Ni5 was simulated for Cu Kα, 1.54184 Å.
No peak broadening, texture or thermal motion is included.

Structure:
Cell lengths 6.858, 6.858, 6.858 Å; angles 95.50, 95.50, 143.94 degrees
Fractional coordinates of all 9 atoms:
Ca (0.000, 0.285, 0.285)
Ca (0.000, 0.715, 0.715)
Ca (0.285, 0.000, 0.285)
Ca (0.715, 0.000, 0.715)
Ni (0.000, 0.000, 0.000)
Ni (0.366, 0.366, 0.732)
Ni (0.366, 0.634, 0.000)
Ni (0.634, 0.366, 0.000)
Ni (0.634, 0.634, 0.268)

The 6 most intense peaks (15 to 90 degrees two-theta), low angle first:
2θ/deg, I/Imax
36.1, 100
41.5, 23
42.6, 22
45.9, 41
61.0, 13
88.5, 15

[4]
Starting from a structure optimized by DFT (PBE), the powder diffraction line list of CaNi12 was simulated for Cu Kα, 1.54184 Å.
No peak broadening, texture or thermal motion is included.

Structure:
Cell lengths 6.276, 6.276, 6.276 Å; angles 98.05, 98.05, 136.05 degrees
Fractional coordinates of all 13 atoms:
Ca (0.000, 0.000, 0.000)
Ni (0.000, 0.000, 0.500)
Ni (0.000, 0.356, 0.356)
Ni (0.000, 0.500, 0.000)
Ni (0.000, 0.644, 0.644)
Ni (0.273, 0.500, 0.773)
Ni (0.356, 0.000, 0.356)
Ni (0.500, 0.000, 0.000)
Ni (0.500, 0.273, 0.773)
Ni (0.500, 0.500, 0.500)
Ni (0.500, 0.727, 0.227)
Ni (0.644, 0.000, 0.644)
Ni (0.727, 0.500, 0.227)

The 6 most intense peaks (15 to 90 degrees two-theta), low angle first:
2θ/deg, I/Imax
38.0, 34
44.0, 74
44.1, 90
44.4, 76
49.6, 100
49.9, 91

[5]
Starting from a structure optimized by DFT (PBE), the powder diffraction line list of CaNi2 was simulated for Cu Kα, 1.54184 Å.
No peak broadening, texture or thermal motion is included.

Structure:
Cell lengths 4.708, 4.708, 9.288 Å; angles 90.00, 90.00, 90.00 degrees
Fractional coordinates of all 12 atoms:
Ca (0.000, 0.000, 0.250)
Ca (0.000, 0.000, 0.750)
Ca (0.500, 0.500, 0.250)
Ca (0.500, 0.500, 0.750)
Ni (0.179, 0.321, 0.000)
Ni (0.179, 0.679, 0.500)
Ni (0.321, 0.179, 0.500)
Ni (0.321, 0.821, 0.000)
Ni (0.679, 0.179, 0.000)
Ni (0.679, 0.821, 0.500)
Ni (0.821, 0.321, 0.500)
Ni (0.821, 0.679, 0.000)

The 6 most intense peaks (15 to 90 degrees two-theta), low angle first:
2θ/deg, I/Imax
19.1, 100
33.1, 58
38.8, 63
43.1, 95
44.1, 96
52.6, 55

[6]
Starting from a structure optimized by DFT (PBE), the powder diffraction line list of CaNi13 was simulated for Cu Kα, 1.54184 Å.
No peak broadening, texture or thermal motion is included.

Structure:
Cell lengths 7.940, 7.940, 7.940 Å; angles 60.00, 60.00, 60.00 degrees
Fractional coordinates of all 28 atoms:
Ca (0.250, 0.250, 0.250)
Ca (0.750, 0.750, 0.750)
Ni (0.000, 0.000, 0.000)
Ni (0.063, 0.296, 0.704)
Ni (0.063, 0.704, 0.937)
Ni (0.063, 0.937, 0.296)
Ni (0.204, 0.437, 0.796)
Ni (0.204, 0.563, 0.437)
Ni (0.204, 0.796, 0.563)
Ni (0.296, 0.063, 0.937)
Ni (0.296, 0.704, 0.063)
Ni (0.296, 0.937, 0.704)
Ni (0.437, 0.204, 0.563)
Ni (0.437, 0.563, 0.796)
Ni (0.437, 0.796, 0.204)
Ni (0.500, 0.500, 0.500)
Ni (0.563, 0.204, 0.796)
Ni (0.563, 0.437, 0.204)
Ni (0.563, 0.796, 0.437)
Ni (0.704, 0.063, 0.296)
Ni (0.704, 0.296, 0.937)
Ni (0.704, 0.937, 0.063)
Ni (0.796, 0.204, 0.437)
Ni (0.796, 0.437, 0.563)
Ni (0.796, 0.563, 0.204)
Ni (0.937, 0.063, 0.704)
Ni (0.937, 0.296, 0.063)
Ni (0.937, 0.704, 0.296)

The 6 most intense peaks (15 to 90 degrees two-theta), low angle first:
2θ/deg, I/Imax
15.8, 37
35.8, 13
39.3, 42
47.9, 100
48.7, 36
77.4, 11

[7]
Starting from a structure optimized by DFT (PBE), the powder diffraction line list of CaNpNi2 was simulated for Cu Kα, 1.54184 Å.
No peak broadening, texture or thermal motion is included.

Structure:
Cell lengths 3.345, 3.345, 6.988 Å; angles 90.00, 90.00, 90.00 degrees
Fractional coordinates of all 4 atoms:
Ca (0.000, 0.000, 0.000)
Np (0.000, 0.000, 0.500)
Ni (0.500, 0.500, 0.300)
Ni (0.500, 0.500, 0.700)

The 6 most intense peaks (15 to 90 degrees two-theta), low angle first:
2θ/deg, I/Imax
29.6, 27
37.2, 100
38.0, 53
40.2, 30
47.6, 30
68.2, 33